Computed PXRD pattern
Compound: ZrTa3Ga2
Radiation: Cu Kα (weighted mean of Kα1 and Kα2)
Structure: a structure optimized by DFT (PBE)

```
data_ZrTa3Ga2
_space_group_name_H-M_alt 'F m m 2'
_space_group_IT_number 42
_space_group_name_Hall 'F 2 -2'
_cell_length_a 5.186
_cell_length_b 9.101
_cell_length_c 9.000
_cell_angle_alpha 90.00
_cell_angle_beta 90.00
_cell_angle_gamma 90.00
loop_
_atom_site_label
_atom_site_fract_x
_atom_site_fract_y
_atom_site_fract_z
Zr1 0.000 0.000 0.000
Ta1 0.000 0.000 0.688
Ta2 0.000 0.154 0.345
Ga1 0.250 0.250 0.097
```

Principal peaks in the range 10° ≤ 2θ ≤ 80°, by angle:
2θ/deg  I_rel  (hkl)
34.59  24.9  2 0 0
35.71  100.0  1 3 1
35.96  84.9  1 1 3
40.04  19.5  0 0 4
40.13  23.7  2 0 2
44.63  28.8  0 4 2
44.97  54.2  0 2 4
62.68  32.9  3 3 1
62.88  16.8  3 1 3
68.97  21.1  2 4 4

Computed PXRD pattern
Compound: TbGa3
Radiation: Cu Kα (weighted mean of Kα1 and Kα2)
Structure: a structure optimized by DFT (PBE)

```
data_TbGa3
_space_group_name_H-M_alt 'C m c m'
_space_group_IT_number 63
_space_group_name_Hall '-C 2c 2'
_cell_length_a 6.292
_cell_length_b 10.937
_cell_length_c 4.544
_cell_angle_alpha 90.00
_cell_angle_beta 90.00
_cell_angle_gamma 90.00
loop_
_atom_site_label
_atom_site_fract_x
_atom_site_fract_y
_atom_site_fract_z
Tb1 0.000 0.167 0.250
Ga1 0.000 0.352 0.750
Ga2 0.222 0.427 0.250
```

Principal peaks in the range 10° ≤ 2θ ≤ 80°, by angle:
2θ/deg  I_rel  (hkl)
25.51  23.1  0 2 1
28.32  9.7  1 3 0
32.81  25.4  2 2 0
38.48  100.0  0 4 1
39.67  21.7  0 0 2
52.40  13.3  2 2 2
58.52  11.2  2 6 0
71.20  15.8  0 4 3
72.36  8.2  4 4 1
73.03  11.4  2 6 2

Computed PXRD pattern
Compound: TbGa3
Radiation: Cu Kα (weighted mean of Kα1 and Kα2)
Structure: a structure optimized by DFT (PBE)

```
data_TbGa3
_space_group_name_H-M_alt 'P 63/m m c'
_space_group_IT_number 194
_space_group_name_Hall '-P 6c 2c'
_cell_length_a 6.2968
_cell_length_b 6.2968
_cell_length_c 4.5290
_cell_angle_alpha 90.00
_cell_angle_beta 90.00
_cell_angle_gamma 120.00
loop_
_atom_site_label
_atom_site_fract_x
_atom_site_fract_y
_atom_site_fract_z
Tb1 0.3333 0.6667 0.2500
Ga1 0.1479 0.2957 0.7500
```

Principal peaks in the range 10° ≤ 2θ ≤ 80°, by angle:
2θ/deg  I_rel  (hkl)
25.57  23.0  1 0 1
28.35  9.7  1 1 0
32.85  25.5  2 0 0
38.54  100.0  2 0 1
39.81  21.6  0 0 2
52.53  13.3  2 0 2
58.64  16.8  2 2 0
71.42  15.8  2 0 3
72.39  12.1  4 0 1
73.23  17.1  2 2 2

Computed PXRD pattern
Compound: TbYGa4
Radiation: Cu Kα (weighted mean of Kα1 and Kα2)
Structure: a structure optimized by DFT (PBE)

```
data_TbYGa4
_space_group_name_H-M_alt 'C m c m'
_space_group_IT_number 63
_space_group_name_Hall '-C 2c 2'
_cell_length_a 4.109
_cell_length_b 18.784
_cell_length_c 6.502
_cell_angle_alpha 90.00
_cell_angle_beta 90.00
_cell_angle_gamma 90.00
loop_
_atom_site_label
_atom_site_fract_x
_atom_site_fract_y
_atom_site_fract_z
Tb1 0.000 0.235 0.250
Y1 0.000 0.090 0.750
Ga1 0.000 0.070 0.250
Ga2 0.000 0.355 0.544
Ga3 0.000 0.500 0.000
```

Principal peaks in the range 10° ≤ 2θ ≤ 80°, by angle:
2θ/deg  I_rel  (hkl)
26.09  26.6  1 1 1
29.41  60.1  1 3 1
35.19  48.5  1 5 1
35.54  100.0  1 1 2
39.98  73.7  0 6 2
40.13  76.7  1 7 0
44.08  41.9  2 0 0
47.70  26.0  1 1 3
61.01  41.4  2 6 2
75.65  19.5  1 13 2

Computed PXRD pattern
Compound: Ga12Tc
Radiation: Cu Kα (weighted mean of Kα1 and Kα2)
Structure: a structure optimized by DFT (PBE)

```
data_Ga12Tc
_space_group_name_H-M_alt 'I m -3'
_space_group_IT_number 204
_space_group_name_Hall '-I 2 2 3'
_cell_length_a 7.611
_cell_length_b 7.611
_cell_length_c 7.611
_cell_angle_alpha 90.00
_cell_angle_beta 90.00
_cell_angle_gamma 90.00
loop_
_atom_site_label
_atom_site_fract_x
_atom_site_fract_y
_atom_site_fract_z
Ga1 0.000 0.190 0.310
Tc1 0.000 0.000 0.000
```

Principal peaks in the range 10° ≤ 2θ ≤ 80°, by angle:
2θ/deg  I_rel  (hkl)
16.47  8.6  1 1 0
33.30  11.5  2 2 0
37.36  100.0  3 1 0
41.08  47.2  2 2 2
44.54  77.0  3 2 1
47.80  13.2  4 0 0
62.19  13.3  4 3 1
72.40  33.6  5 0 3
74.85  10.3  6 0 0
77.27  36.1  5 3 2

Computed PXRD pattern
Compound: Ga10Tc3
Radiation: Cu Kα (weighted mean of Kα1 and Kα2)
Structure: a structure optimized by DFT (PBE)

```
data_Ga10Tc3
_space_group_name_H-M_alt 'P 63/m m c'
_space_group_IT_number 194
_space_group_name_Hall '-P 6c 2c'
_cell_length_a 7.8106
_cell_length_b 7.8106
_cell_length_c 8.0715
_cell_angle_alpha 90.00
_cell_angle_beta 90.00
_cell_angle_gamma 120.00
loop_
_atom_site_label
_atom_site_fract_x
_atom_site_fract_y
_atom_site_fract_z
Ga1 0.0000 0.0000 0.0000
Ga2 0.0753 0.5377 0.2500
Ga3 0.2019 0.4039 0.5620
Tc1 0.1267 0.2535 0.2500
```

Principal peaks in the range 10° ≤ 2θ ≤ 80°, by angle:
2θ/deg  I_rel  (hkl)
13.09  29.8  1 0 0
35.92  41.3  1 0 3
39.99  23.5  3 0 0
41.59  89.1  3 0 1
41.83  100.0  2 1 2
42.96  66.2  2 0 3
46.51  28.6  2 2 0
69.98  31.9  0 0 6
71.94  29.8  3 0 5
73.89  22.5  5 0 2

Computed PXRD pattern
Compound: Ga8Tc
Radiation: Cu Kα (weighted mean of Kα1 and Kα2)
Structure: a structure optimized by DFT (PBE)

```
data_Ga8Tc
_space_group_name_H-M_alt 'P -6 2 m'
_space_group_IT_number 189
_space_group_name_Hall 'P -6 -2'
_cell_length_a 7.2969
_cell_length_b 7.2969
_cell_length_c 3.3818
_cell_angle_alpha 90.00
_cell_angle_beta 90.00
_cell_angle_gamma 120.00
loop_
_atom_site_label
_atom_site_fract_x
_atom_site_fract_y
_atom_site_fract_z
Ga1 0.0000 0.2708 0.0000
Ga2 0.0000 0.6297 0.5000
Ga3 0.3333 0.6667 0.0000
Tc1 0.0000 0.0000 0.5000
```

Principal peaks in the range 10° ≤ 2θ ≤ 80°, by angle:
2θ/deg  I_rel  (hkl)
14.01  12.9  1 0 0
36.22  100.0  1 1 1
37.66  26.4  2 1 0
39.01  62.3  2 0 1
42.94  79.6  3 0 0
46.55  43.4  2 1 1
54.25  19.5  0 0 2
67.94  13.3  4 1 0
70.70  30.4  3 2 1
71.56  33.2  3 0 2

Computed PXRD pattern
Compound: Tm3Ga2
Radiation: Cu Kα (weighted mean of Kα1 and Kα2)
Structure: a structure optimized by DFT (PBE)

```
data_Tm3Ga2
_space_group_name_H-M_alt 'I 4/m c m'
_space_group_IT_number 140
_space_group_name_Hall '-I 4 2c'
_cell_length_a 11.419
_cell_length_b 11.419
_cell_length_c 14.649
_cell_angle_alpha 90.00
_cell_angle_beta 90.00
_cell_angle_gamma 90.00
loop_
_atom_site_label
_atom_site_fract_x
_atom_site_fract_y
_atom_site_fract_z
Tm1 0.000 0.500 0.146
Tm2 0.067 0.203 0.136
Tm3 0.169 0.331 0.500
Ga1 0.000 0.000 0.000
Ga2 0.000 0.000 0.250
Ga3 0.118 0.382 0.000
Ga4 0.177 0.323 0.299
```

Principal peaks in the range 10° ≤ 2θ ≤ 80°, by angle:
2θ/deg  I_rel  (hkl)
32.91  84.8  4 1 1
33.02  23.5  2 2 4
33.29  32.0  3 3 0
33.73  43.5  3 2 3
34.89  100.0  3 1 4
35.15  27.3  4 2 0
35.32  19.8  2 1 5
37.33  30.6  4 1 3
55.00  20.0  4 1 7
62.90  20.6  7 1 4

Computed PXRD pattern
Compound: Ga3W
Radiation: Cu Kα (weighted mean of Kα1 and Kα2)
Structure: a structure optimized by DFT (PBE)

```
data_Ga3W
_space_group_name_H-M_alt 'P 42/m n m'
_space_group_IT_number 136
_space_group_name_Hall '-P 4n 2n'
_cell_length_a 6.567
_cell_length_b 6.567
_cell_length_c 7.407
_cell_angle_alpha 90.00
_cell_angle_beta 90.00
_cell_angle_gamma 90.00
loop_
_atom_site_label
_atom_site_fract_x
_atom_site_fract_y
_atom_site_fract_z
Ga1 0.000 0.500 0.000
Ga2 0.171 0.171 0.247
W1 0.136 0.864 0.000
```

Principal peaks in the range 10° ≤ 2θ ≤ 80°, by angle:
2θ/deg  I_rel  (hkl)
18.05  84.1  1 0 1
22.60  35.3  1 1 1
36.57  16.8  2 0 2
38.97  11.3  1 0 3
39.15  100.0  2 1 2
40.73  23.4  2 2 1
43.09  15.4  3 0 1
43.59  36.6  3 1 0
49.20  17.5  0 0 4
67.81  19.2  3 1 4

Computed PXRD pattern
Compound: Ga5W2
Radiation: Cu Kα (weighted mean of Kα1 and Kα2)
Structure: a structure optimized by DFT (PBE)

```
data_Ga5W2
_space_group_name_H-M_alt 'P 4/m b m'
_space_group_IT_number 127
_space_group_name_Hall '-P 4 2ab'
_cell_length_a 9.146
_cell_length_b 9.146
_cell_length_c 2.722
_cell_angle_alpha 90.00
_cell_angle_beta 90.00
_cell_angle_gamma 90.00
loop_
_atom_site_label
_atom_site_fract_x
_atom_site_fract_y
_atom_site_fract_z
Ga1 0.000 0.500 0.000
Ga2 0.059 0.201 0.000
W1 0.179 0.679 0.500
```

Principal peaks in the range 10° ≤ 2θ ≤ 80°, by angle:
2θ/deg  I_rel  (hkl)
19.41  34.5  2 0 0
21.73  68.8  2 1 0
38.48  37.9  2 0 1
39.77  82.5  2 1 1
40.67  100.0  4 1 0
41.91  47.6  3 3 0
43.45  19.6  2 2 1
45.77  54.0  3 1 1
49.09  18.2  3 2 1
74.26  18.4  6 2 1

Computed PXRD pattern
Compound: Zn3Ga2
Radiation: Cu Kα (weighted mean of Kα1 and Kα2)
Structure: a structure optimized by DFT (PBE)

```
data_Zn3Ga2
_space_group_name_H-M_alt 'C 1 c 1'
_space_group_IT_number 9
_space_group_name_Hall 'C -2yc'
_cell_length_a 10.512
_cell_length_b 6.802
_cell_length_c 5.120
_cell_angle_alpha 90.00
_cell_angle_beta 104.64
_cell_angle_gamma 90.00
loop_
_atom_site_label
_atom_site_fract_x
_atom_site_fract_y
_atom_site_fract_z
Zn1 0.000 0.042 0.000
Zn2 0.265 0.454 0.665
Zn3 0.401 0.207 0.130
Ga1 0.049 0.375 0.262
Ga2 0.239 0.079 0.683
```

Principal peaks in the range 10° ≤ 2θ ≤ 80°, by angle:
2θ/deg  I_rel  (hkl)
30.88  100.0  3 1 -1
35.30  39.2  4 0 0
36.27  44.9  0 0 2
38.12  48.0  3 1 1
38.83  40.8  2 2 1
40.78  39.5  1 3 0
41.53  43.0  3 1 -2
44.52  96.1  2 0 2
45.16  46.8  2 2 -2
45.82  43.6  1 3 1

Computed PXRD pattern
Compound: Zn5Ga
Radiation: Cu Kα (weighted mean of Kα1 and Kα2)
Structure: a structure optimized by DFT (PBE)

```
data_Zn5Ga
_space_group_name_H-M_alt 'P -6 2 m'
_space_group_IT_number 189
_space_group_name_Hall 'P -6 -2'
_cell_length_a 4.7766
_cell_length_b 4.7766
_cell_length_c 4.7182
_cell_angle_alpha 90.00
_cell_angle_beta 90.00
_cell_angle_gamma 120.00
loop_
_atom_site_label
_atom_site_fract_x
_atom_site_fract_y
_atom_site_fract_z
Zn1 0.0000 0.3386 0.0000
Zn2 0.3333 0.6667 0.5000
Ga1 0.0000 0.0000 0.5000
```

Principal peaks in the range 10° ≤ 2θ ≤ 80°, by angle:
2θ/deg  I_rel  (hkl)
37.66  23.5  1 1 0
38.15  30.2  0 0 2
42.42  100.0  1 1 1
54.69  15.3  1 1 2
67.99  15.2  3 0 0
71.88  19.2  1 1 3